# CsEr2Cl7
Computed powder diffraction line list, Cu Kα X-rays. Input: a cell relaxed with GGA-PBE.
Neutral-atom scattering factors, no anomalous dispersion.

Most intense lines, 10° ≤ 2θ ≤ 90°, in order of falling intensity:
| hkl | two_theta | d (Å) | I/Imax |
| --- | --- | --- | --- |
| 2 1 1 | 19.02 | 4.665 | 100 |
| 2 0 0 | 12.33 | 7.177 | 65 |
| 1 1 3 | 25.46 | 3.498 | 47 |
| 4 2 0 | 35.77 | 2.511 | 32 |
| 5 1 3 | 40.14 | 2.246 | 30 |
| 3 0 4 | 34.06 | 2.632 | 25 |
| 1 2 4 | 38.89 | 2.316 | 25 |
| 3 1 3 | 31.05 | 2.880 | 19 |
| 2 2 2 | 31.71 | 2.822 | 15 |
| 3 2 4 | 42.93 | 2.107 | 15 |

Crystal structure
```
data_CsEr2Cl7
_cell_length_a 14.354
_cell_length_b 7.027
_cell_length_c 12.608
_cell_angle_alpha 90.00
_cell_angle_beta 90.00
_cell_angle_gamma 90.00
_space_group_name_H-M_alt 'P n m a'
_space_group_IT_number 62
loop_
_space_group_symop_operation_xyz
'x,y,z'
'-x,-y,-z'
'-x+1/2,-y,z+1/2'
'x+1/2,y,-z+1/2'
'x+1/2,-y+1/2,-z+1/2'
'-x+1/2,y+1/2,z+1/2'
'-x,y+1/2,-z'
'x,-y+1/2,z'
loop_
_atom_site_label
_atom_site_type_symbol
_atom_site_fract_x
_atom_site_fract_y
_atom_site_fract_z
Cs1 Cs 0.041 0.250 0.196
Er1 Er 0.239 0.250 0.540
Er2 Er 0.249 0.750 0.344
Cl1 Cl 0.118 0.750 0.189
Cl2 Cl 0.131 0.009 0.425
Cl3 Cl 0.142 0.010 0.960
Cl4 Cl 0.180 0.015 0.694
```

***

# LiTc2Pd
Computed powder diffraction line list, Cu Kα X-rays. Input: a cell relaxed with GGA-PBE.
Neutral-atom scattering factors, no anomalous dispersion.

Most intense lines, 10° ≤ 2θ ≤ 90°, in order of falling intensity:
| hkl | two_theta | d (Å) | I/Imax |
| --- | --- | --- | --- |
| 2 2 0 | 41.86 | 2.158 | 100 |
| 4 2 2 | 76.45 | 1.246 | 32 |
| 1 1 1 | 25.27 | 3.524 | 28 |
| 4 0 0 | 60.69 | 1.526 | 16 |
| 3 1 1 | 49.53 | 1.840 | 13 |
| 2 0 0 | 29.26 | 3.052 | 11 |
| 3 3 1 | 66.80 | 1.400 | 5 |
| 5 1 1 | 82.03 | 1.175 | 4 |
| 4 2 0 | 68.78 | 1.365 | 3 |
| 2 2 2 | 51.89 | 1.762 | 3 |

Crystal structure
```
data_LiTc2Pd
_cell_length_a 6.104
_cell_length_b 6.104
_cell_length_c 6.104
_cell_angle_alpha 90.00
_cell_angle_beta 90.00
_cell_angle_gamma 90.00
_space_group_name_H-M_alt 'F m -3 m'
_space_group_IT_number 225
_space_group_name_Hall '-F 4 2 3'
loop_
_atom_site_label
_atom_site_type_symbol
_atom_site_fract_x
_atom_site_fract_y
_atom_site_fract_z
Li1 Li 0.000 0.000 0.000
Tc1 Tc 0.250 0.250 0.250
Pd1 Pd 0.000 0.000 0.500
```

***

# RbTbO3
Computed powder diffraction line list, Cu Kα X-rays. Input: a cell relaxed with GGA-PBE.
Neutral-atom scattering factors, no anomalous dispersion.

Most intense lines, 10° ≤ 2θ ≤ 90°, in order of falling intensity:
| hkl | two_theta | d (Å) | I/Imax |
| --- | --- | --- | --- |
| 1 1 0 | 27.82 | 3.207 | 100 |
| 2 1 1 | 49.21 | 1.851 | 42 |
| 2 0 0 | 39.75 | 2.268 | 32 |
| 3 2 1 | 79.00 | 1.212 | 22 |
| 2 2 0 | 57.48 | 1.603 | 21 |
| 3 1 0 | 65.04 | 1.434 | 19 |
| 1 0 0 | 19.57 | 4.535 | 18 |
| 2 1 0 | 44.68 | 2.028 | 8 |
| 2 2 2 | 72.15 | 1.309 | 7 |
| 3 0 0 | 61.32 | 1.512 | 4 |

Crystal structure
```
data_RbTbO3
_cell_length_a 4.535
_cell_length_b 4.535
_cell_length_c 4.535
_cell_angle_alpha 90.00
_cell_angle_beta 90.00
_cell_angle_gamma 90.00
_space_group_name_H-M_alt 'P m -3 m'
_space_group_IT_number 221
_space_group_name_Hall '-P 4 2 3'
loop_
_atom_site_label
_atom_site_type_symbol
_atom_site_fract_x
_atom_site_fract_y
_atom_site_fract_z
Rb1 Rb 0.000 0.000 0.000
Tb1 Tb 0.500 0.500 0.500
O1 O 0.000 0.500 0.500
```